1.
Theoretical powder X-ray diffraction pattern
Compound: Li2LaIn2Ag2Au
Radiation: λ = 1.5418 Å (Cu Kα)
Structure: a crystal structure in OQMD, relaxed with GGA-PBE
Kinematic intensities with the Lorentz-polarization factor, no thermal factor.

Cell and atoms:
```
Li2LaIn2Ag2Au
1.0
4.8868 0.0000 0.0000
0.0000 4.8868 0.0000
0.0000 0.0000 7.0945
Li La In Ag Au
2 1 2 2 1
direct
0.0000 0.5000 0.1874
0.5000 0.0000 0.8126
0.0000 0.0000 0.5000
0.0000 0.0000 0.0000
0.5000 0.5000 0.5000
0.0000 0.5000 0.7727
0.5000 0.0000 0.2273
0.5000 0.5000 0.0000
```

The 10 most intense peaks (2θ from 10° to 90°), most intense first:
Position (°2θ), I_rel
36.3, 100
36.8, 50
65.9, 34
22.1, 32
25.8, 21
53.0, 17
65.0, 16
25.1, 12
43.3, 11
45.1, 10


2.
Theoretical powder X-ray diffraction pattern
Compound: Li2MgIn2AgAu2
Radiation: λ = 1.5418 Å (Cu Kα)
Structure: a crystal structure in OQMD, relaxed with GGA-PBE
Kinematic intensities with the Lorentz-polarization factor, no thermal factor.

Cell and atoms:
```
Li2MgIn2AgAu2
1.0
4.6894 0.0000 0.0000
0.0000 4.6894 0.0000
0.0000 0.0000 6.6228
Li Mg In Ag Au
2 1 2 1 2
direct
0.0000 0.5000 0.2348
0.5000 0.0000 0.7652
0.0000 0.0000 0.5000
0.0000 0.0000 0.0000
0.5000 0.5000 0.5000
0.5000 0.5000 0.0000
0.0000 0.5000 0.7384
0.5000 0.0000 0.2616
```

The 10 most intense peaks (2θ from 10° to 90°), most intense first:
Position (°2θ), I_rel
38.4, 100
23.2, 62
69.5, 34
45.4, 33
55.4, 17
60.9, 14
82.3, 11
74.3, 8
86.9, 7
87.0, 3


3.
Theoretical powder X-ray diffraction pattern
Compound: Li2ScIn2Ag2Au
Radiation: λ = 1.5418 Å (Cu Kα)
Structure: a crystal structure in OQMD, relaxed with GGA-PBE
Kinematic intensities with the Lorentz-polarization factor, no thermal factor.

Cell and atoms:
```
Li2ScIn2Ag2Au
1.0
4.7323 0.0000 0.0000
0.0000 4.7323 0.0000
0.0000 0.0000 6.6355
Li Sc In Ag Au
2 1 2 2 1
direct
0.0000 0.5000 0.2161
0.5000 0.0000 0.7839
0.0000 0.0000 0.5000
0.0000 0.0000 0.0000
0.5000 0.5000 0.5000
0.0000 0.5000 0.7433
0.5000 0.0000 0.2567
0.5000 0.5000 0.0000
```

The 10 most intense peaks (2θ from 10° to 90°), most intense first:
Position (°2θ), I_rel
38.2, 100
38.0, 51
23.1, 34
68.8, 34
54.9, 17
69.2, 16
26.6, 15
18.8, 13
13.3, 12
45.0, 11